(1)
The following is a theoretical powder XRD pattern of Li8Co5O10. It was derived from the PBE+U geometry in the Materials Project, using Cu Kα (weighted mean of Kα1 and Kα2).
Intensities are scaled so that the largest is 100.

Cell and atoms:
```
data_Li8Co5O10
_chemical_formula_sum 'Li16 Co10 O20'
_symmetry_space_group_name_H-M 'P -1'
_symmetry_Int_Tables_number 2
_symmetry_space_group_name_Hall '-P 1'
_cell_length_a 6.6538
_cell_length_b 8.6522
_cell_length_c 10.1020
_cell_angle_alpha 105.89
_cell_angle_beta 103.37
_cell_angle_gamma 104.53
loop_
_atom_site_label
_atom_site_type_symbol
_atom_site_fract_x
_atom_site_fract_y
_atom_site_fract_z
Li1 Li 0.0579 0.1665 0.0499
Li2 Li 0.1239 0.6581 0.5824
Li3 Li 0.1550 0.5512 0.3343
Li4 Li 0.2230 0.0341 0.8658
Li5 Li 0.2708 0.9643 0.6298
Li6 Li 0.3449 0.4499 0.1686
Li7 Li 0.3768 0.3414 0.9134
Li8 Li 0.4378 0.8303 0.4474
Co1 Co 0.0000 0.5000 0.0000
Co2 Co 0.1031 0.9032 0.3028
Co3 Co 0.2055 0.3042 0.6087
Co4 Co 0.2933 0.6927 0.8916
Co5 Co 0.3974 0.0985 0.1995
Co6 Co 0.5000 0.5000 0.5000
O1 O 0.0240 0.3874 0.1316
O2 O 0.0961 0.0046 0.1469
O3 O 0.1209 0.7712 0.4364
O4 O 0.2082 0.4596 0.4929
O5 O 0.2139 0.1631 0.7313
O6 O 0.2931 0.5388 0.0074
O7 O 0.3026 0.8389 0.7720
O8 O 0.3781 0.2202 0.0692
O9 O 0.4222 0.0105 0.3486
O10 O 0.4738 0.6096 0.3666
```

Peak list (10 most intense, 10 to 90 degrees two-theta, low angle first)
- hkl 1 -1 1, 2θ = 18.32°, 4.842 Å, I 83
- hkl 0 1 2, 2θ = 25.68°, 3.469 Å, I 100
- hkl -1 2 1, 2θ = 25.79°, 3.455 Å, I 100
- hkl 2 1 -2, 2θ = 32.73°, 2.736 Å, I 23
- hkl 0 3 -4, 2θ = 42.22°, 2.140 Å, I 31
- hkl 3 0 -1, 2θ = 42.34°, 2.135 Å, I 31
- hkl 2 2 0, 2θ = 43.32°, 2.089 Å, I 23
- hkl -1 3 3, 2θ = 49.16°, 1.853 Å, I 20
- hkl 1 -5 3, 2θ = 54.92°, 1.672 Å, I 14
- hkl 3 3 -5, 2θ = 65.39°, 1.427 Å, I 14

***

(2)
The following is a theoretical powder XRD pattern of LiCo2O4. It was derived from the PBE+U geometry in the Materials Project, using Cu Kα (weighted mean of Kα1 and Kα2).
Intensities are scaled so that the largest is 100.

Cell and atoms:
```
data_LiCo2O4
_chemical_formula_sum 'Li8 Co16 O32'
_symmetry_space_group_name_H-M 'P 43 3 2'
_symmetry_Int_Tables_number 212
_symmetry_space_group_name_Hall 'P 4acd 2ab 3'
_cell_length_a 8.0561
_cell_length_b 8.0561
_cell_length_c 8.0561
_cell_angle_alpha 90.00
_cell_angle_beta 90.00
_cell_angle_gamma 90.00
loop_
_atom_site_label
_atom_site_type_symbol
_atom_site_fract_x
_atom_site_fract_y
_atom_site_fract_z
Li1 Li 0.0027 0.0027 0.0027
Co1 Co 0.1224 0.1276 0.6250
Co2 Co 0.1250 0.8750 0.3750
O1 O 0.1080 0.1110 0.3896
O2 O 0.1133 0.6133 0.8867
```

Peak list (10 most intense, 10 to 90 degrees two-theta, low angle first)
- hkl 1 1 1, 2θ = 19.08°, 4.651 Å, I 100
- hkl 3 1 1, 2θ = 37.01°, 2.429 Å, I 46
- hkl 2 2 2, 2θ = 38.72°, 2.326 Å, I 13
- hkl 4 0 0, 2θ = 45.01°, 2.014 Å, I 51
- hkl 3 3 1, 2θ = 49.31°, 1.848 Å, I 10
- hkl 5 1 1, 2θ = 59.64°, 1.550 Å, I 19
- hkl 4 4 0, 2θ = 65.55°, 1.424 Å, I 30
- hkl 5 3 1, 2θ = 68.96°, 1.362 Å, I 14
- hkl 6 2 2, 2θ = 78.80°, 1.215 Å, I 7
- hkl 4 4 4, 2θ = 83.06°, 1.163 Å, I 8

***

(3)
The following is a theoretical powder XRD pattern of Li4Co7O16. It was derived from the PBE+U geometry in the Materials Project, using Cu Kα (weighted mean of Kα1 and Kα2).
Intensities are scaled so that the largest is 100.

Cell and atoms:
```
data_Li4Co7O16
_chemical_formula_sum 'Li8 Co14 O32'
_symmetry_space_group_name_H-M 'P 1 21 1'
_symmetry_Int_Tables_number 4
_symmetry_space_group_name_Hall 'P 2yb'
_cell_length_a 8.0451
_cell_length_b 8.1058
_cell_length_c 8.0972
_cell_angle_alpha 90.00
_cell_angle_beta 90.36
_cell_angle_gamma 90.00
loop_
_atom_site_label
_atom_site_type_symbol
_atom_site_fract_x
_atom_site_fract_y
_atom_site_fract_z
Li1 Li 0.0005 0.0000 0.2494
Li2 Li 0.2545 0.2461 0.9991
Li3 Li 0.3790 0.6206 0.8762
Li4 Li 0.4967 0.4961 0.2450
Co1 Co 0.1230 0.6247 0.1250
Co2 Co 0.1274 0.8749 0.8804
Co3 Co 0.1294 0.1270 0.6236
Co4 Co 0.2453 0.7474 0.5073
Co5 Co 0.3723 0.8783 0.1320
Co6 Co 0.3725 0.1227 0.3827
Co7 Co 0.3726 0.3661 0.6205
O1 O 0.1010 0.4046 0.1137
O2 O 0.1051 0.6386 0.3593
O3 O 0.1117 0.1092 0.8576
O4 O 0.1127 0.6518 0.8991
O5 O 0.1360 0.8611 0.1142
O6 O 0.1375 0.8887 0.6450
O7 O 0.1491 0.1105 0.4044
O8 O 0.1515 0.3476 0.6364
O9 O 0.3459 0.6437 0.1297
O10 O 0.3512 0.8786 0.9010
O11 O 0.3648 0.1348 0.6162
O12 O 0.3673 0.1016 0.1519
O13 O 0.3847 0.3419 0.3975
O14 O 0.3866 0.6021 0.6173
O15 O 0.3875 0.8840 0.3705
O16 O 0.4046 0.3680 0.8514
```

Peak list (10 most intense, 10 to 90 degrees two-theta, low angle first)
- hkl 1 1 0, 2θ = 15.50°, 5.718 Å, I 50
- hkl 1 1 1, 2θ = 19.02°, 4.666 Å, I 100
- hkl 0 2 1, 2θ = 24.57°, 3.623 Å, I 34
- hkl 2 0 1, 2θ = 24.73°, 3.600 Å, I 25
- hkl 1 3 -1, 2θ = 36.79°, 2.443 Å, I 52
- hkl 3 1 -1, 2θ = 36.92°, 2.434 Å, I 35
- hkl 0 0 4, 2θ = 44.75°, 2.025 Å, I 47
- hkl 4 0 0, 2θ = 45.08°, 2.011 Å, I 23
- hkl 1 5 1, 2θ = 59.25°, 1.559 Å, I 21
- hkl 4 0 -4, 2θ = 65.15°, 1.432 Å, I 30